# PrSn2Sb3
Theoretical XRD peak list, Cu Kα, 1.54184 Å. Input: a structure optimized by DFT (GGA-PBE).
No peak broadening, texture or thermal motion is included.

Cell: 4.3699 11.4748 7.2874 Å, 90.00 90.00 90.00°
Atoms (fractional coordinates):
Pr  0.0000  0.1232  0.0000
Pr  0.0000  0.8768  0.5000
Sn  0.0000  0.1785  0.4513
Sn  0.0000  0.8215  0.9513
Sn  0.5000  0.4548  0.5124
Sn  0.5000  0.5452  0.0124
Sb  0.0000  0.3608  0.7310
Sb  0.0000  0.6392  0.2310
Sb  0.5000  0.0511  0.6823
Sb  0.5000  0.3050  0.1704
Sb  0.5000  0.6950  0.6704
Sb  0.5000  0.9489  0.1823

Main lines, by angle (5° ≤ 2θ ≤ 70°):
| 2theta | intensity |
| --- | --- |
| 25.63 | 257 |
| 26.31 | 281 |
| 28.45 | 749 |
| 31.98 | 295 |
| 32.94 | 1000 |
| 33.50 | 711 |
| 33.98 | 804 |
| 37.50 | 339 |
| 41.31 | 539 |
| 54.54 | 459 |